[1]
IrRu: simulated powder diffractogram (CuKα), based on a DFT-relaxed cell (GGA-PBE, the Materials Project).

Cell and atoms:
Cell lengths 2.745, 2.745, 4.364 Å; angles 90.00, 90.00, 120.00 degrees
Fractional positions:
Ir  0.000  0.000  0.000
Ru  0.667  0.333  0.500

Principal peaks in the range 10° ≤ 2θ ≤ 80°, low angle first:
- 2θ 20.35, rel. 12
- 2θ 37.84, rel. 30
- 2θ 41.38, rel. 25
- 2θ 43.34, rel. 100
- 2θ 57.32, rel. 18
- 2θ 64.01, rel. 1
- 2θ 68.34, rel. 17
- 2θ 72.14, rel. 3
- 2θ 76.83, rel. 19



[2]
Y2IrRu: simulated powder diffractogram (CuKα), based on a DFT-relaxed cell (GGA-PBE, the Materials Project).

Cell and atoms:
Cell lengths 6.848, 6.848, 6.848 Å; angles 90.00, 90.00, 90.00 degrees
Fractional positions:
Y  0.250  0.250  0.250
Y  0.250  0.250  0.750
Y  0.250  0.750  0.250
Y  0.250  0.750  0.750
Y  0.750  0.250  0.250
Y  0.750  0.250  0.750
Y  0.750  0.750  0.250
Y  0.750  0.750  0.750
Ir  0.000  0.000  0.000
Ir  0.000  0.500  0.500
Ir  0.500  0.000  0.500
Ir  0.500  0.500  0.000
Ru  0.000  0.000  0.500
Ru  0.000  0.500  0.000
Ru  0.500  0.000  0.000
Ru  0.500  0.500  0.500

Principal peaks in the range 10° ≤ 2θ ≤ 80°, low angle first:
- 2θ 22.49, rel. 7
- 2θ 26.02, rel. 7
- 2θ 37.13, rel. 100
- 2θ 43.84, rel. 4
- 2θ 45.90, rel. 2
- 2θ 53.52, rel. 17
- 2θ 58.77, rel. 2
- 2θ 60.45, rel. 3
- 2θ 66.94, rel. 35
- 2θ 79.11, rel. 11



[3]
IrS2: simulated powder diffractogram (CuKα), based on a DFT-relaxed cell (GGA-PBE, the Materials Project).

Cell and atoms:
Cell lengths 20.042, 3.613, 5.686 Å; angles 90.00, 90.00, 90.00 degrees
Fractional positions:
Ir  0.077  0.250  0.073
Ir  0.196  0.750  0.559
Ir  0.304  0.250  0.059
Ir  0.423  0.750  0.573
Ir  0.577  0.250  0.427
Ir  0.696  0.750  0.941
Ir  0.804  0.250  0.441
Ir  0.923  0.750  0.927
S  0.009  0.750  0.222
S  0.123  0.250  0.454
S  0.141  0.750  0.936
S  0.237  0.750  0.179
S  0.263  0.250  0.679
S  0.359  0.250  0.436
S  0.377  0.750  0.954
S  0.491  0.250  0.722
S  0.509  0.750  0.278
S  0.623  0.250  0.046
S  0.641  0.750  0.564
S  0.737  0.750  0.321
S  0.763  0.250  0.821
S  0.859  0.250  0.064
S  0.877  0.750  0.546
S  0.991  0.250  0.778

Principal peaks in the range 10° ≤ 2θ ≤ 80°, low angle first:
- 2θ 16.20, rel. 29
- 2θ 20.51, rel. 51
- 2θ 23.67, rel. 29
- 2θ 27.22, rel. 71
- 2θ 29.63, rel. 51
- 2θ 30.51, rel. 100
- 2θ 44.40, rel. 33
- 2θ 46.54, rel. 29
- 2θ 50.77, rel. 54
- 2θ 54.69, rel. 27



[4]
Ir2S3: simulated powder diffractogram (CuKα), based on a DFT-relaxed cell (GGA-PBE, the Materials Project).

Cell and atoms:
Cell lengths 8.555, 6.066, 6.196 Å; angles 90.00, 90.00, 90.00 degrees
Fractional positions:
Ir  0.108  0.249  0.030
Ir  0.108  0.751  0.530
Ir  0.392  0.251  0.530
Ir  0.392  0.749  0.030
Ir  0.608  0.251  0.970
Ir  0.608  0.749  0.470
Ir  0.892  0.249  0.470
Ir  0.892  0.751  0.970
S  0.000  0.455  0.750
S  0.000  0.545  0.250
S  0.150  0.110  0.392
S  0.150  0.890  0.892
S  0.350  0.390  0.892
S  0.350  0.610  0.392
S  0.500  0.045  0.250
S  0.500  0.955  0.750
S  0.650  0.390  0.608
S  0.650  0.610  0.108
S  0.850  0.110  0.108
S  0.850  0.890  0.608

Principal peaks in the range 10° ≤ 2θ ≤ 80°, low angle first:
- 2θ 28.82, rel. 26
- 2θ 29.33, rel. 100
- 2θ 29.45, rel. 26
- 2θ 41.67, rel. 25
- 2θ 42.26, rel. 11
- 2θ 51.38, rel. 21
- 2θ 51.95, rel. 12
- 2θ 52.17, rel. 31
- 2θ 52.34, rel. 12
- 2θ 60.84, rel. 11



[5]
Ir2S3: simulated powder diffractogram (CuKα), based on a DFT-relaxed cell (GGA-PBE, the Materials Project).

Cell and atoms:
Cell lengths 6.340, 6.340, 6.340 Å; angles 56.77, 56.77, 56.77 degrees
Fractional positions:
Ir  0.148  0.148  0.148
Ir  0.352  0.352  0.352
Ir  0.648  0.648  0.648
Ir  0.852  0.852  0.852
S  0.046  0.750  0.454
S  0.250  0.546  0.954
S  0.454  0.046  0.750
S  0.546  0.954  0.250
S  0.750  0.454  0.046
S  0.954  0.250  0.546

Principal peaks in the range 10° ≤ 2θ ≤ 80°, low angle first:
- 2θ 20.35, rel. 36
- 2θ 28.22, rel. 94
- 2θ 29.64, rel. 100
- 2θ 41.38, rel. 43
- 2θ 45.58, rel. 65
- 2θ 51.73, rel. 42
- 2θ 52.60, rel. 39
- 2θ 60.91, rel. 19
- 2θ 72.10, rel. 16
- 2θ 77.03, rel. 17



[6]
IrS2: simulated powder diffractogram (CuKα), based on a DFT-relaxed cell (GGA-PBE, the Materials Project).

Cell and atoms:
Cell lengths 5.746, 5.746, 5.746 Å; angles 90.00, 90.00, 90.00 degrees
Fractional positions:
Ir  0.000  0.000  0.000
Ir  0.000  0.500  0.500
Ir  0.500  0.000  0.500
Ir  0.500  0.500  0.000
S  0.133  0.633  0.867
S  0.133  0.867  0.367
S  0.367  0.133  0.867
S  0.367  0.367  0.367
S  0.633  0.633  0.633
S  0.633  0.867  0.133
S  0.867  0.133  0.633
S  0.867  0.367  0.133

Principal peaks in the range 10° ≤ 2θ ≤ 80°, low angle first:
- 2θ 26.88, rel. 100
- 2θ 31.13, rel. 61
- 2θ 34.92, rel. 6
- 2θ 38.37, rel. 4
- 2θ 44.60, rel. 50
- 2θ 52.85, rel. 76
- 2θ 55.39, rel. 18
- 2θ 64.92, rel. 4
- 2θ 71.58, rel. 18
- 2θ 73.75, rel. 24



[7]
SmSbIr: simulated powder diffractogram (CuKα), based on a DFT-relaxed cell (GGA-PBE, the Materials Project).

Cell and atoms:
Cell lengths 7.328, 4.572, 7.990 Å; angles 90.00, 90.00, 90.00 degrees
Fractional positions:
Sm  0.013  0.250  0.193
Sm  0.487  0.750  0.693
Sm  0.513  0.250  0.307
Sm  0.987  0.750  0.807
Sb  0.177  0.250  0.588
Sb  0.323  0.750  0.088
Sb  0.677  0.250  0.912
Sb  0.823  0.750  0.412
Ir  0.205  0.750  0.411
Ir  0.295  0.250  0.911
Ir  0.705  0.750  0.089
Ir  0.795  0.250  0.589

Principal peaks in the range 10° ≤ 2θ ≤ 80°, low angle first:
- 2θ 32.17, rel. 60
- 2θ 33.18, rel. 34
- 2θ 33.28, rel. 100
- 2θ 38.54, rel. 36
- 2θ 39.15, rel. 67
- 2θ 39.42, rel. 49
- 2θ 52.45, rel. 19
- 2θ 56.31, rel. 24
- 2θ 63.51, rel. 29
- 2θ 71.62, rel. 19



[8]
U3Sb4Ir3: simulated powder diffractogram (CuKα), based on a DFT-relaxed cell (GGA-PBE, the Materials Project).

Cell and atoms:
Cell lengths 8.324, 8.324, 8.324 Å; angles 109.47, 109.47, 109.47 degrees
Fractional positions:
U  0.125  0.875  0.250
U  0.250  0.125  0.875
U  0.375  0.625  0.750
U  0.625  0.750  0.375
U  0.750  0.375  0.625
U  0.875  0.250  0.125
Sb  0.000  0.176  0.500
Sb  0.000  0.676  0.500
Sb  0.176  0.500  0.000
Sb  0.324  0.324  0.324
Sb  0.500  0.000  0.176
Sb  0.500  0.000  0.676
Sb  0.676  0.500  0.000
Sb  0.824  0.824  0.824
Ir  0.125  0.750  0.875
Ir  0.250  0.625  0.375
Ir  0.375  0.250  0.625
Ir  0.625  0.375  0.250
Ir  0.750  0.875  0.125
Ir  0.875  0.125  0.750

Principal peaks in the range 10° ≤ 2θ ≤ 80°, low angle first:
- 2θ 22.66, rel. 20
- 2θ 26.22, rel. 14
- 2θ 29.38, rel. 13
- 2θ 34.93, rel. 100
- 2θ 42.04, rel. 55
- 2θ 46.27, rel. 13
- 2θ 52.12, rel. 18
- 2θ 67.51, rel. 13
- 2θ 70.67, rel. 12
- 2θ 72.23, rel. 13